No. 1
Structure and simulated powder X-ray diffraction pattern of HoNiH3 (a cell relaxed with GGA-PBE; Cu Kα (λ = 1.5418 Å)).
Kinematic intensities with the Lorentz-polarization factor, no thermal factor.

Principal peaks in the range 2θ = 5–70°, low angle first:
- 25.6°, rel. 44
- 32.0°, rel. 74
- 32.4°, rel. 100
- 32.8°, rel. 83
- 34.6°, rel. 60
- 39.2°, rel. 60
- 39.5°, rel. 61
- 40.4°, rel. 54

Cell and atoms:
abc: 5.8821 5.8821 4.5973
angles: 92.16 92.16 35.67
Element x y z (fractional)
Ho: 0.0000 0.0000 0.0000
Ho: 0.7334 0.7334 0.4936
Ni: 0.2909 0.2909 0.0341
Ni: 0.4531 0.4531 0.4861
H: 0.1758 0.1758 0.2455
H: 0.3407 0.3407 0.7054
H: 0.5561 0.5561 0.2421
H: 0.5607 0.5607 0.7417
H: 0.7899 0.7899 0.0129
H: 0.9443 0.9443 0.4843

---

No. 2
Structure and simulated powder X-ray diffraction pattern of HoNi3H6 (a cell relaxed with GGA-PBE; Cu Kα (λ = 1.5418 Å)).
Kinematic intensities with the Lorentz-polarization factor, no thermal factor.

Principal peaks in the range 2θ = 5–70°, low angle first:
- 23.6°, rel. 44
- 26.6°, rel. 21
- 36.5°, rel. 79
- 39.5°, rel. 100
- 42.6°, rel. 48
- 54.8°, rel. 24
- 59.4°, rel. 18
- 69.6°, rel. 23

Cell and atoms:
abc: 4.9557 4.9557 4.9557
angles: 54.88 54.88 54.88
Element x y z (fractional)
Ho: 0.0000 0.0000 0.0000
Ni: 0.2247 0.2247 0.2247
Ni: 0.5588 0.5588 0.5588
Ni: 0.7712 0.7712 0.7712
H: 0.1570 0.4763 0.8289
H: 0.4687 0.9790 0.4901
H: 0.4763 0.8289 0.1570
H: 0.4901 0.4687 0.9790
H: 0.8289 0.1570 0.4763
H: 0.9790 0.4901 0.4687

---

Number 2 is which compound?
HoNi3H6